Computed PXRD pattern of NaAg2F5 for Cu Kα, from a cell relaxed with GGA-PBE.

```
NaAg2F5
1.0
8.4520 0.0000 0.0000
0.0000 11.2879 0.0000
0.0000 0.0000 5.6940
Na Ag F
4 8 20
Direct
0.0000 0.0884 0.2500 Na
0.0000 0.9116 0.7500 Na
0.5000 0.4116 0.7500 Na
0.5000 0.5884 0.2500 Na
0.2070 0.3731 0.1393 Ag
0.2070 0.6269 0.6393 Ag
0.2930 0.1269 0.6393 Ag
0.2930 0.8731 0.1393 Ag
0.7070 0.1269 0.8607 Ag
0.7070 0.8731 0.3607 Ag
0.7930 0.3731 0.3607 Ag
0.7930 0.6269 0.8607 Ag
0.0000 0.4631 0.2500 F
0.0000 0.5369 0.7500 F
0.1605 0.2364 0.3953 F
0.1605 0.7637 0.8953 F
0.1765 0.0160 0.9706 F
0.1765 0.9840 0.4706 F
0.3235 0.4840 0.4706 F
0.3235 0.5160 0.9706 F
0.3395 0.2636 0.8953 F
0.3395 0.7363 0.3953 F
0.5000 0.0369 0.7500 F
0.5000 0.9631 0.2500 F
0.6605 0.2636 0.6047 F
0.6605 0.7363 0.1047 F
0.6765 0.4840 0.0294 F
0.6765 0.5160 0.5294 F
0.8235 0.0160 0.5294 F
0.8235 0.9840 0.0294 F
0.8395 0.2364 0.1047 F
0.8395 0.7637 0.6047 F
```

Most intense lines, 2θ from 10° to 90°, sorted by position:
two_theta  I/Imax
20.39  349
21.02  713
22.18  851
24.58  1000
30.74  778
33.21  346
38.35  191
39.98  194
46.57  638
51.95  363



Computed PXRD pattern of Pm3Dy4Bi4 for Cu Kα, from a cell relaxed with GGA-PBE.

```
Pm3Dy4Bi4
1.0
11.4936 0.0000 0.0000
0.0000 2.1820 7.0845
0.0000 -2.1820 7.0845
Pm Dy Bi
3 4 4
Direct
0.0000 0.0000 0.0000 Pm
0.3518 0.0750 0.0750 Pm
0.6482 0.0750 0.0750 Pm
0.0000 0.3022 0.3022 Dy
0.2427 0.7745 0.7745 Dy
0.5000 0.3742 0.3742 Dy
0.7573 0.7745 0.7745 Dy
0.0000 0.6563 0.6563 Bi
0.2189 0.4400 0.4400 Bi
0.5000 0.7023 0.7023 Bi
0.7811 0.4400 0.4400 Bi
```

Most intense lines, 2θ from 10° to 90°, sorted by position:
two_theta  I/Imax
19.89  188
26.45  168
27.83  663
28.92  201
31.13  282
31.71  271
31.97  1000
38.04  271
41.36  561
59.92  171



Computed PXRD pattern of La2TbYTm5 for Cu Kα, from a cell relaxed with GGA-PBE.

```
La2TbYTm5
1.0
-4.2927 4.2927 7.8559
4.2927 -4.2927 7.8559
4.2927 4.2927 -7.8559
La Tb Y Tm
4 2 2 10
Direct
0.1178 0.6178 0.7357 La
0.3822 0.1178 0.5000 La
0.6178 0.8822 0.5000 La
0.8822 0.3822 0.2643 La
0.2500 0.2500 0.0000 Tb
0.7500 0.7500 0.0000 Tb
0.2500 0.7500 0.5000 Y
0.7500 0.2500 0.5000 Y
0.0000 0.0000 0.0000 Tm
0.0747 0.1409 0.5000 Tm
0.1409 0.6409 0.0662 Tm
0.3591 0.4253 0.5000 Tm
0.4253 0.9253 0.0662 Tm
0.5000 0.5000 0.0000 Tm
0.5747 0.0747 0.9338 Tm
0.6409 0.5747 0.5000 Tm
0.8591 0.3591 0.9338 Tm
0.9253 0.8591 0.5000 Tm
```

Most intense lines, 2θ from 10° to 90°, sorted by position:
two_theta  I/Imax
28.83  425
29.43  545
30.86  1000
32.99  161
38.23  142
40.36  167
53.10  259
55.77  149
56.36  129
59.75  120



Computed PXRD pattern of Rb2MnSnCl6 for Cu Kα, from a cell relaxed with GGA-PBE.

```
Rb2MnSnCl6
1.0
-3.7715 3.7715 5.3352
3.7715 -3.7715 5.3352
3.7715 3.7715 -5.3352
Rb Mn Sn Cl
2 1 1 6
Direct
0.0000 0.5000 0.5000 Rb
0.5000 0.0000 0.5000 Rb
0.2505 0.2505 0.0000 Mn
0.7505 0.7505 0.0000 Sn
0.0138 0.0138 0.0000 Cl
0.0138 0.0138 0.5268 Cl
0.0138 0.4870 0.0000 Cl
0.4870 0.0138 0.0000 Cl
0.4872 0.4872 0.0000 Cl
0.4870 0.4870 0.4732 Cl
```

Most intense lines, 2θ from 10° to 90°, sorted by position:
two_theta  I/Imax
23.59  1000
28.99  235
33.60  824
41.47  454
48.26  548
54.39  224
60.09  181
65.47  253
75.64  120
80.53  229



Computed PXRD pattern of CaPm4Ga5 for Cu Kα, from a cell relaxed with GGA-PBE.

```
CaPm4Ga5
1.0
3.6633 0.0000 0.0000
0.0000 3.6633 0.0000
0.0000 0.0000 18.4177
Ca Pm Ga
1 4 5
Direct
0.0000 0.0000 0.0000 Ca
0.0000 0.0000 0.1989 Pm
0.0000 0.0000 0.4005 Pm
0.0000 0.0000 0.5995 Pm
0.0000 0.0000 0.8011 Pm
0.5000 0.5000 0.1001 Ga
0.5000 0.5000 0.3011 Ga
0.5000 0.5000 0.5000 Ga
0.5000 0.5000 0.6989 Ga
0.5000 0.5000 0.8999 Ga
```

Most intense lines, 2θ from 10° to 90°, sorted by position:
two_theta  I/Imax
24.30  57
34.56  1000
49.49  60
49.78  117
61.81  121
62.00  240
72.83  74
73.06  37
82.93  52
83.41  103



Computed PXRD pattern of Mg2OsPt for Cu Kα, from a cell relaxed with GGA-PBE.

```
Mg2OsPt
1.0
-1.9462 1.9462 4.1999
1.9462 -1.9462 4.1999
1.9462 1.9462 -4.1999
Mg Os Pt
2 1 1
Direct
0.0000 0.0000 0.0000 Mg
0.7500 0.2500 0.5000 Mg
0.2500 0.7500 0.5000 Os
0.5000 0.5000 0.0000 Pt
```

Most intense lines, 2θ from 10° to 90°, sorted by position:
two_theta  I/Imax
25.22  896
39.13  1000
39.65  279
43.08  191
46.67  304
53.78  236
62.86  149
65.38  223
76.31  143
81.49  242



Computed PXRD pattern of TlFeBr4 for Cu Kα, from a cell relaxed with GGA-PBE.

```
TlFeBr4
1.0
7.7999 0.0000 0.0000
0.0000 10.6634 0.0000
0.0000 0.0000 10.5442
Tl Fe Br
4 4 16
Direct
0.1593 0.2500 0.2500 Tl
0.3407 0.7500 0.2500 Tl
0.6593 0.2500 0.7500 Tl
0.8407 0.7500 0.7500 Tl
0.2500 0.0000 0.6793 Fe
0.2500 0.5000 0.8207 Fe
0.7500 0.0000 0.3207 Fe
0.7500 0.5000 0.1793 Fe
0.0081 0.0380 0.8094 Br
0.0081 0.4620 0.6906 Br
0.1805 0.6768 0.9447 Br
0.1805 0.8232 0.5553 Br
0.3195 0.1768 0.5553 Br
0.3195 0.3232 0.9447 Br
0.4919 0.5380 0.6906 Br
0.4919 0.9620 0.8094 Br
0.5081 0.0380 0.1906 Br
0.5081 0.4620 0.3094 Br
0.6805 0.6768 0.0553 Br
0.6805 0.8232 0.4447 Br
0.8195 0.1768 0.4447 Br
0.8195 0.3232 0.0553 Br
0.9919 0.5380 0.3094 Br
0.9919 0.9620 0.1906 Br
```

Most intense lines, 2θ from 10° to 90°, sorted by position:
two_theta  I/Imax
16.40  417
16.82  629
21.88  1000
27.84  553
28.35  370
28.87  585
29.69  997
32.60  653
36.59  654
37.81  494



Computed PXRD pattern of PuGa4Pd8 for Cu Kα, from a cell relaxed with GGA-PBE.

```
PuGa4Pd8
1.0
-4.4259 4.4259 2.7070
4.4259 -4.4259 2.7070
4.4259 4.4259 -2.7070
Pu Ga Pd
1 4 8
Direct
0.0000 0.0000 0.0000 Pu
0.0000 0.0000 0.5000 Ga
0.0000 0.5000 0.0000 Ga
0.5000 0.0000 0.0000 Ga
0.5000 0.5000 0.5000 Ga
0.0000 0.3357 0.3357 Pd
0.0000 0.6643 0.6643 Pd
0.2766 0.5000 0.7766 Pd
0.3357 0.0000 0.3357 Pd
0.5000 0.2766 0.7766 Pd
0.5000 0.7234 0.2234 Pd
0.6643 0.0000 0.6643 Pd
0.7234 0.5000 0.2234 Pd
```

Most intense lines, 2θ from 10° to 90°, sorted by position:
two_theta  I/Imax
27.92  216
33.09  325
34.62  544
39.00  546
40.34  1000
40.77  576
44.24  400
64.03  255
73.04  222
73.93  302



Computed PXRD pattern of BaLiH2 for Cu Kα, from a cell relaxed with GGA-PBE.

```
BaLiH2
1.0
-2.8315 4.1532 2.8706
2.8315 -4.1532 2.8706
2.8315 4.1532 -2.8706
Ba Li H
2 2 4
Direct
0.0000 0.0000 0.0000 Ba
0.5000 0.0000 0.5000 Ba
0.2728 0.5228 0.7500 Li
0.7272 0.4772 0.2500 Li
0.0000 0.5000 0.5000 H
0.5000 0.0000 0.0000 H
0.5000 0.5000 0.0000 H
0.5000 0.5000 0.5000 H
```

Most intense lines, 2θ from 10° to 90°, sorted by position:
two_theta  I/Imax
21.39  547
22.05  989
30.91  1000
31.16  250
31.60  242
38.11  259
38.48  251
49.37  229
50.32  330
55.29  191



Computed PXRD pattern of CsThBr6 for Cu Kα, from a cell relaxed with GGA-PBE.

```
CsThBr6
1.0
8.1003 0.0000 0.0000
0.0000 8.1003 0.0000
0.0000 0.0000 9.9500
Cs Th Br
2 2 12
Direct
0.0000 0.0000 0.0000 Cs
0.0000 0.0000 0.5000 Cs
0.5000 0.5000 0.2500 Th
0.5000 0.5000 0.7500 Th
0.1991 0.3326 0.1780 Br
0.1991 0.3326 0.8220 Br
0.3032 0.3895 0.5000 Br
0.3326 0.8009 0.3220 Br
0.3326 0.8009 0.6780 Br
0.3895 0.6968 0.0000 Br
0.6105 0.3032 0.0000 Br
0.6674 0.1991 0.3220 Br
0.6674 0.1991 0.6780 Br
0.6968 0.6105 0.5000 Br
0.8009 0.6674 0.1780 Br
0.8009 0.6674 0.8220 Br
```

Most intense lines, 2θ from 10° to 90°, sorted by position:
two_theta  I/Imax
10.92  813
15.47  1000
20.96  666
24.57  417
30.53  998
31.19  770
35.03  494
37.90  432
39.53  469
49.91  370



Computed PXRD pattern of Ba2Li9Mg3 for Cu Kα, from a cell relaxed with GGA-PBE.

```
Ba2Li9Mg3
1.0
7.6032 -4.6844 0.0000
7.6032 4.6844 0.0000
0.0000 0.0000 10.5953
Ba Li Mg
4 18 6
Direct
0.0163 0.6804 0.7500 Ba
0.3196 0.9837 0.7500 Ba
0.6804 0.0163 0.2500 Ba
0.9837 0.3196 0.2500 Ba
0.0240 0.6553 0.0882 Li
0.0240 0.6553 0.4118 Li
0.1693 0.8307 0.2500 Li
0.3447 0.9760 0.0882 Li
0.3447 0.9760 0.4118 Li
0.3474 0.6526 0.0007 Li
0.3474 0.6526 0.4993 Li
0.3575 0.4512 0.2500 Li
0.4512 0.3575 0.7500 Li
0.5488 0.6425 0.2500 Li
0.6425 0.5488 0.7500 Li
0.6526 0.3474 0.5007 Li
0.6526 0.3474 0.9993 Li
0.6553 0.0240 0.5882 Li
0.6553 0.0240 0.9118 Li
0.8307 0.1693 0.7500 Li
0.9760 0.3447 0.5882 Li
0.9760 0.3447 0.9118 Li
0.0000 0.0000 0.0000 Mg
0.0000 0.0000 0.5000 Mg
0.3138 0.3138 0.0000 Mg
0.3138 0.3138 0.5000 Mg
0.6862 0.6862 0.0000 Mg
0.6862 0.6862 0.5000 Mg
```

Most intense lines, 2θ from 10° to 90°, sorted by position:
two_theta  I/Imax
13.90  848
16.73  314
20.73  580
21.63  1000
25.38  291
26.12  473
28.91  302
32.34  466
33.71  441
33.85  481



Computed PXRD pattern of ErMg2Au for Cu Kα, from a cell relaxed with GGA-PBE.

```
ErMg2Au
1.0
0.0000 3.4963 3.4963
3.4963 0.0000 3.4963
3.4963 3.4963 0.0000
Er Mg Au
1 2 1
Direct
0.0000 0.0000 0.0000 Er
0.2500 0.2500 0.2500 Mg
0.5000 0.5000 0.5000 Mg
0.7500 0.7500 0.7500 Au
```

Most intense lines, 2θ from 10° to 90°, sorted by position:
two_theta  I/Imax
22.02  662
36.34  1000
42.89  364
52.33  177
57.44  156
65.38  362
69.90  118
77.17  113
81.42  120
88.42  166